Structure and theoretical powder diffraction line list of Li6NdAg12 (a DFT-relaxed cell (GGA-PBE, Alexandria); Cu Kα (weighted mean of Kα1 and Kα2)).

Peak list (12 most intense, 10 to 80 degrees two-theta, in order of rising 2θ)
| Position (°2θ) | d [Å] | Rel. int. | hkl |
| --- | --- | --- | --- |
| 22.3 | 3.992 | 20 | 0 1 2 |
| 26.1 | 3.410 | 19 | 3 0 0 |
| 27.0 | 3.307 | 21 | 2 0 2 |
| 33.2 | 2.697 | 100 | 1 3 1 |
| 34.6 | 2.596 | 50 | 1 1 3 |
| 37.9 | 2.374 | 13 | 3 1 2 |
| 40.9 | 2.205 | 27 | 0 3 3 |
| 43.9 | 2.064 | 13 | 2 3 2 |
| 48.2 | 1.887 | 13 | 2 4 1 |
| 49.2 | 1.850 | 32 | 5 0 2 |
| 62.4 | 1.488 | 13 | 0 5 4 |
| 71.8 | 1.315 | 12 | 4 4 3 |

Crystal structure
a = 11.8129 Å, b = 11.8129 Å, c = 8.6704 Å
α = 90.00°, β = 90.00°, γ = 120.00°
Space group R-3m (No. 166, hexagonal axes)
Unique sites:
Li 0.0431 0.5215 0.2468 x18
Nd 0.0000 0.0000 0.0000 x3
Ag 0.0000 0.3824 0.5000 x18
Ag 0.0833 0.1667 0.3113 x18